# Li3FeNi3O8
Theoretical powder X-ray diffraction pattern, a wavelength of 1.5418 Å. Input: a PBE+U-relaxed structure.
Intensities are scaled so that the largest is 100.

Structure:
a b c (Å): 10.167 5.741 5.837
angles (deg): 90.00 124.06 90.00
Space group C2/m (No. 12)
Asymmetric unit:
Li 0.000 0.000 0.000 (multiplicity 2)
Li 0.250 0.250 0.000 (multiplicity 4)
Fe 0.000 0.500 0.500 (multiplicity 2)
Ni 0.000 0.000 0.500 (multiplicity 2)
Ni 0.250 0.250 0.500 (multiplicity 4)
O 0.001 0.236 0.725 (multiplicity 8)
O 0.223 0.000 0.704 (multiplicity 4)
O 0.243 0.500 0.716 (multiplicity 4)

Peak list (10 most intense, 2θ from 5° to 70°, low angle first)
| hkl | two_theta | I (rel.) |
| --- | --- | --- |
| 0 0 1 | 18.3 | 100 |
| 4 0 -1 | 35.7 | 15 |
| 2 2 -1 | 36.6 | 24 |
| 2 2 0 | 37.9 | 9 |
| 4 0 0 | 43.0 | 22 |
| 2 2 -2 | 44.3 | 41 |
| 2 2 1 | 47.7 | 9 |
| 2 2 -3 | 58.2 | 10 |
| 2 2 2 | 63.0 | 11 |
| 6 2 -2 | 63.8 | 17 |